Simulated powder XRD pattern of CaSm4V4O12 for Cu Kα, from DFT lattice parameters and positions (PBE+U).

The 12 most intense peaks (2θ = 10–90°), most intense first:
- hkl 0 0 2, 23.1°, d 3.851, intensity 100
- hkl -1 1 2, 32.6°, d 2.743, intensity 95
- hkl 1 1 -2, 31.0°, d 2.885, intensity 88
- hkl 1 -1 2, 32.4°, d 2.761, intensity 82
- hkl 0 0 4, 47.2°, d 1.926, intensity 70
- hkl 2 0 0, 30.8°, d 2.901, intensity 63
- hkl 1 -1 0, 22.6°, d 3.932, intensity 56
- hkl 0 2 1, 31.4°, d 2.847, intensity 51
- hkl 1 1 2, 29.9°, d 2.987, intensity 46
- hkl 0 2 0, 29.4°, d 3.040, intensity 45
- hkl 1 1 3, 39.7°, d 2.268, intensity 39
- hkl 2 0 -2, 39.4°, d 2.289, intensity 36

Crystal structure
```
21
Lattice="5.862 0.000 0.000 0.863 6.081 0.000 0.230 0.146 7.709" Properties=species:S:1:pos:R:3 pbc="T T T"
Ca 0.000 0.000 0.000
Sm 2.632 2.308 3.211
Sm 2.912 1.521 7.116
Sm 5.127 4.196 6.773
Sm 5.780 5.267 3.222
V 2.648 4.889 5.066
V 3.043 4.879 1.399
V 5.732 1.839 5.069
V 5.727 2.327 1.544
O 0.541 2.270 7.068
O 0.895 3.654 4.602
O 1.212 4.013 1.710
O 1.555 0.849 4.784
O 1.487 0.880 1.603
O 2.989 5.305 7.069
O 3.598 4.570 3.251
O 3.816 2.933 5.500
O 3.797 2.937 0.907
O 4.811 5.737 0.980
O 4.683 0.182 5.791
O 4.873 1.526 3.263
```